No. 1
The following is a simulated X-ray diffraction stick pattern of Ce6Sn2GeN. It was derived from a DFT-relaxed cell (PBE, Alexandria), using Cu Kα (weighted mean of Kα1 and Kα2).
No peak broadening, texture or thermal motion is included.

Top 10 peaks for 2θ from 15° to 90°, in order of rising 2θ:
2θ = 29.66°, I = 100; 2θ = 33.96°, I = 50; 2θ = 35.21°, I = 21; 2θ = 48.79°, I = 18; 2θ = 49.72°, I = 31; 2θ = 58.14°, I = 30; 2θ = 59.79°, I = 11; 2θ = 61.58°, I = 16; 2θ = 80.68°, I = 9; 2θ = 81.54°, I = 8

Structure:
Unit cell a=5.279 b=5.279 c=10.197 alpha=90.00 beta=90.00 gamma=90.00
Positions (direct):
Ce: 0.000 0.000 0.224
Ce: 0.000 0.000 0.776
Ce: 0.000 0.500 0.000
Ce: 0.000 0.500 0.500
Ce: 0.500 0.000 0.000
Ce: 0.500 0.000 0.500
Sn: 0.500 0.500 0.245
Sn: 0.500 0.500 0.755
Ge: 0.000 0.000 0.500
N: 0.000 0.000 0.000

No. 2
The following is a simulated X-ray diffraction stick pattern of Hf3Ga2H2. It was derived from a DFT-relaxed cell (PBE, Alexandria), using Cu Kα (weighted mean of Kα1 and Kα2).
No peak broadening, texture or thermal motion is included.

Top 10 peaks for 2θ from 15° to 90°, in order of rising 2θ:
2θ = 29.66°, I = 72; 2θ = 31.87°, I = 26; 2θ = 34.21°, I = 100; 2θ = 38.93°, I = 56; 2θ = 39.79°, I = 99; 2θ = 58.20°, I = 15; 2θ = 58.36°, I = 12; 2θ = 63.45°, I = 18; 2θ = 71.12°, I = 14; 2θ = 71.22°, I = 17

Structure:
Unit cell a=5.570 b=7.691 c=5.617 alpha=90.00 beta=120.15 gamma=90.00
Positions (direct):
Hf: 0.000 0.000 0.000
Hf: 0.000 0.500 0.500
Hf: 0.282 0.113 0.634
Hf: 0.282 0.387 0.134
Hf: 0.718 0.613 0.866
Hf: 0.718 0.887 0.366
Ga: 0.245 0.739 0.353
Ga: 0.245 0.761 0.853
Ga: 0.755 0.239 0.147
Ga: 0.755 0.261 0.647
H: 0.315 0.140 0.290
H: 0.315 0.360 0.790
H: 0.685 0.640 0.210
H: 0.685 0.860 0.710

No. 3
The following is a simulated X-ray diffraction stick pattern of Y2ZrZn. It was derived from a DFT-relaxed cell (PBE, Alexandria), using Cu Kα (weighted mean of Kα1 and Kα2).
No peak broadening, texture or thermal motion is included.

Top 10 peaks for 2θ from 15° to 90°, in order of rising 2θ:
2θ = 32.64°, I = 100; 2θ = 34.21°, I = 53; 2θ = 34.66°, I = 83; 2θ = 36.53°, I = 46; 2θ = 38.93°, I = 39; 2θ = 50.91°, I = 33; 2θ = 53.36°, I = 15; 2θ = 65.21°, I = 25; 2θ = 66.40°, I = 15; 2θ = 71.97°, I = 16

Structure:
Unit cell a=4.920 b=6.323 c=6.323 alpha=31.51 beta=90.00 gamma=90.00
Positions (direct):
Y: 0.000 0.000 0.000
Y: 0.500 0.321 0.321
Zr: 0.000 0.724 0.724
Zn: 0.500 0.596 0.596

No. 4
The following is a simulated X-ray diffraction stick pattern of ZrAg2I8. It was derived from a DFT-relaxed cell (PBE, Alexandria), using Cu Kα (weighted mean of Kα1 and Kα2).
No peak broadening, texture or thermal motion is included.

Top 10 peaks for 2θ from 15° to 90°, in order of rising 2θ:
2θ = 21.69°, I = 100; 2θ = 22.73°, I = 47; 2θ = 23.11°, I = 95; 2θ = 26.29°, I = 50; 2θ = 29.36°, I = 76; 2θ = 30.73°, I = 100; 2θ = 32.98°, I = 34; 2θ = 38.82°, I = 40; 2θ = 43.65°, I = 40; 2θ = 44.18°, I = 51

Structure:
Unit cell a=8.824 b=8.824 c=7.196 alpha=103.76 beta=103.76 gamma=89.66
Positions (direct):
Zr: 0.000 0.000 0.000
Ag: 0.173 0.173 0.664
Ag: 0.827 0.827 0.336
I: 0.092 0.748 0.190
I: 0.223 0.223 0.313
I: 0.252 0.908 0.810
I: 0.422 0.422 0.810
I: 0.578 0.578 0.190
I: 0.748 0.092 0.190
I: 0.777 0.777 0.687
I: 0.908 0.252 0.810